Simulated powder XRD pattern of UVHgO6 for Cu Kα (λ = 1.5418 Å), from a DFT-relaxed cell (GGA+U, Alexandria).

The 10 most intense peaks (10° ≤ 2θ ≤ 90°), low angle first:
(1 0 1), 2θ = 15.1°, I = 69
(2 0 0), 2θ = 25.3°, I = 41
(1 2 1), 2θ = 27.0°, I = 100
(0 2 2), 2θ = 28.0°, I = 93
(1 0 3), 2θ = 28.3°, I = 81
(2 1 1), 2θ = 29.0°, I = 57
(2 2 2), 2θ = 38.1°, I = 68
(3 0 3), 2θ = 46.4°, I = 28
(1 2 5), 2θ = 50.4°, I = 39
(1 4 3), 2θ = 54.4°, I = 30

```
data_UVHgO6
_chemical_formula_sum 'U4 V4 Hg4 O24'
_symmetry_space_group_name_H-M 'I m m a'
_symmetry_Int_Tables_number 74
_symmetry_space_group_name_Hall '-I 2b 2'
_cell_length_a 7.0440
_cell_length_b 7.9797
_cell_length_c 10.6006
_cell_angle_alpha 90.00
_cell_angle_beta 90.00
_cell_angle_gamma 90.00
loop_
_atom_site_label
_atom_site_type_symbol
_atom_site_fract_x
_atom_site_fract_y
_atom_site_fract_z
U1 U 0.0000 0.0000 0.0000
V1 V 0.2500 0.2500 0.2500
Hg1 Hg 0.0000 0.2500 0.6890
O1 O 0.0000 0.2500 0.2969
O2 O 0.0000 0.2500 0.9139
O3 O 0.1957 0.0783 0.1282
```